Ac10Tl4N3: calculated X-ray powder pattern (a wavelength of 1.5418 Å), based on a GGA-PBE-relaxed structure.
Peak positions follow from Bragg's law for the DFT cell and can differ from measured ones.

Largest 12 diffraction maxima, by intensity, 5 to 70 degrees two-theta:
Position (°2θ)	Rel. int.
30.08	1000
33.60	633
27.42	516
47.45	368
57.92	330
32.50	259
48.25	234
59.39	190
58.02	185
56.39	147
25.35	105
24.04	60

Structure:
```
Ac10Tl4N3
1.0
-2.6672 2.6672 19.2828
2.6672 -2.6672 19.2828
2.6672 2.6672 -19.2828
Ac Tl N
10 4 3
direct
0.0000 0.5000 0.5000
0.0688 0.0688 0.0000
0.1396 0.6396 0.5000
0.2126 0.2126 0.0000
0.3604 0.8604 0.5000
0.5000 0.0000 0.5000
0.6396 0.1396 0.5000
0.7874 0.7874 0.0000
0.8604 0.3604 0.5000
0.9312 0.9312 0.0000
0.3018 0.3018 0.0000
0.4322 0.4322 0.0000
0.5678 0.5678 0.0000
0.6982 0.6982 0.0000
0.0000 0.0000 0.0000
0.1444 0.1444 0.0000
0.8556 0.8556 0.0000
```